Calculated X-ray powder pattern of Cs2PrCu2Br6 for Cu Kα, 1.54184 Å, from a crystal structure in Alexandria, relaxed with PBE.
No peak broadening, texture or thermal motion is included.

Peak list (12 most intense, 5° ≤ 2θ ≤ 70°, sorted by position)
two_theta	I/Imax
20.5	378
22.3	791
23.3	584
23.6	338
26.3	335
27.2	371
30.1	1000
30.9	376
43.2	285
45.6	433
46.8	253
47.6	243

Structure:
```
data_Cs2PrCu2Br6
_chemical_formula_sum 'Cs2 Pr1 Cu2 Br6'
_space_group_name_H-M_alt 'P 1'
_space_group_IT_number 1
_cell_length_a 7.9687
_cell_length_b 7.9687
_cell_length_c 8.9933
_cell_angle_alpha 118.17
_cell_angle_beta 118.17
_cell_angle_gamma 59.88
loop_
_space_group_symop_operation_xyz
'x,y,z'
loop_
_atom_site_label
_atom_site_type_symbol
_atom_site_fract_x
_atom_site_fract_y
_atom_site_fract_z
Cs1 Cs 0.2138 0.2138 0.2014
Cs2 Cs 0.7862 0.7862 0.7986
Pr1 Pr 0.0000 0.0000 0.5000
Cu1 Cu 0.4639 0.4639 0.8439
Cu2 Cu 0.5361 0.5361 0.1561
Br1 Br 0.2038 0.7054 0.2275
Br2 Br 0.2465 0.2465 0.6346
Br3 Br 0.2946 0.7962 0.7725
Br4 Br 0.7054 0.2038 0.2275
Br5 Br 0.7535 0.7535 0.3654
Br6 Br 0.7962 0.2946 0.7725
```

Calculated X-ray powder pattern of CsCu2PtBr8 for Cu Kα, 1.54184 Å, from a crystal structure in Alexandria, relaxed with PBE.
No peak broadening, texture or thermal motion is included.

Peak list (12 most intense, 5° ≤ 2θ ≤ 70°, sorted by position)
two_theta	I/Imax
9.5	148
13.9	498
18.6	1000
23.5	412
28.8	153
30.5	350
31.7	295
37.7	176
38.6	389
42.6	243
46.0	136
48.2	293

Structure:
```
data_CsCu2PtBr8
_chemical_formula_sum 'Cs1 Cu2 Pt1 Br8'
_space_group_name_H-M_alt 'P 1'
_space_group_IT_number 1
_cell_length_a 10.2731
_cell_length_b 10.2731
_cell_length_c 10.2731
_cell_angle_alpha 43.16
_cell_angle_beta 43.16
_cell_angle_gamma 43.16
loop_
_space_group_symop_operation_xyz
'x,y,z'
loop_
_atom_site_label
_atom_site_type_symbol
_atom_site_fract_x
_atom_site_fract_y
_atom_site_fract_z
Cs1 Cs 0.0000 0.0000 0.0000
Cu1 Cu 0.2321 0.2321 0.2321
Cu2 Cu 0.7679 0.7679 0.7679
Pt1 Pt 0.5000 0.5000 0.5000
Br1 Br 0.1411 0.5930 0.5930
Br2 Br 0.3163 0.3163 0.3163
Br3 Br 0.4070 0.4070 0.8589
Br4 Br 0.4070 0.8589 0.4070
Br5 Br 0.5930 0.1411 0.5930
Br6 Br 0.5930 0.5930 0.1411
Br7 Br 0.6837 0.6837 0.6837
Br8 Br 0.8589 0.4070 0.4070
```

Calculated X-ray powder pattern of Cs3PuCu2Br8 for Cu Kα, 1.54184 Å, from a crystal structure in Alexandria, relaxed with PBE.
No peak broadening, texture or thermal motion is included.

Peak list (12 most intense, 5° ≤ 2θ ≤ 70°, sorted by position)
two_theta	I/Imax
8.7	424
15.6	222
21.8	491
22.6	1000
27.6	425
28.6	314
31.5	936
37.3	274
39.1	211
39.6	230
44.4	354
46.0	512

Structure:
```
data_Cs3PuCu2Br8
_chemical_formula_sum 'Cs3 Pu1 Cu2 Br8'
_space_group_name_H-M_alt 'P 1'
_space_group_IT_number 1
_cell_length_a 7.8855
_cell_length_b 7.8855
_cell_length_c 10.1880
_cell_angle_alpha 90.00
_cell_angle_beta 90.00
_cell_angle_gamma 120.00
loop_
_space_group_symop_operation_xyz
'x,y,z'
loop_
_atom_site_label
_atom_site_type_symbol
_atom_site_fract_x
_atom_site_fract_y
_atom_site_fract_z
Cs1 Cs 0.0000 0.0000 0.0000
Cs2 Cs 0.3333 0.6667 0.6496
Cs3 Cs 0.6667 0.3333 0.3504
Pu1 Pu 0.0000 0.0000 0.5000
Cu1 Cu 0.3333 0.6667 0.2159
Cu2 Cu 0.6667 0.3333 0.7841
Br1 Br 0.1690 0.3379 0.3307
Br2 Br 0.1690 0.8310 0.3307
Br3 Br 0.3333 0.6667 0.9885
Br4 Br 0.3379 0.1690 0.6693
Br5 Br 0.6621 0.8310 0.3307
Br6 Br 0.6667 0.3333 0.0115
Br7 Br 0.8310 0.1690 0.6693
Br8 Br 0.8310 0.6621 0.6693
```

Calculated X-ray powder pattern of CsPuCuBr6 for Cu Kα, 1.54184 Å, from a crystal structure in Alexandria, relaxed with PBE.
No peak broadening, texture or thermal motion is included.

Peak list (12 most intense, 5° ≤ 2θ ≤ 70°, sorted by position)
two_theta	I/Imax
10.7	604
14.4	141
18.0	1000
27.3	509
31.0	189
33.3	894
40.3	291
41.5	196
44.1	491
51.2	201
54.9	150
56.4	170

Structure:
```
data_CsPuCuBr6
_chemical_formula_sum 'Cs1 Pu1 Cu1 Br6'
_space_group_name_H-M_alt 'P 1'
_space_group_IT_number 1
_cell_length_a 7.1114
_cell_length_b 7.1114
_cell_length_c 8.2579
_cell_angle_alpha 90.02
_cell_angle_beta 90.02
_cell_angle_gamma 120.08
loop_
_space_group_symop_operation_xyz
'x,y,z'
loop_
_atom_site_label
_atom_site_type_symbol
_atom_site_fract_x
_atom_site_fract_y
_atom_site_fract_z
Cs1 Cs 0.0000 0.0000 0.0000
Pu1 Pu 0.6669 0.3331 0.5000
Cu1 Cu 0.3333 0.6667 0.5000
Br1 Br 0.0145 0.6394 0.6900
Br2 Br 0.0150 0.3749 0.3109
Br3 Br 0.3606 0.3742 0.6894
Br4 Br 0.3606 0.9855 0.3100
Br5 Br 0.6251 0.9850 0.6891
Br6 Br 0.6258 0.6394 0.3106
```

Calculated X-ray powder pattern of CsRb2Cu2Br7 for Cu Kα, 1.54184 Å, from a crystal structure in Alexandria, relaxed with PBE.
No peak broadening, texture or thermal motion is included.

Peak list (12 most intense, 5° ≤ 2θ ≤ 70°, sorted by position)
two_theta	I/Imax
6.5	477
23.8	307
27.2	368
31.0	1000
32.8	382
34.0	993
47.9	511
48.8	361
53.1	157
58.9	311
59.5	181
60.0	256

Structure:
```
data_CsRb2Cu2Br7
_chemical_formula_sum 'Cs1 Rb2 Cu2 Br7'
_space_group_name_H-M_alt 'P 1'
_space_group_IT_number 1
_cell_length_a 5.2781
_cell_length_b 5.2781
_cell_length_c 14.1585
_cell_angle_alpha 100.73
_cell_angle_beta 100.73
_cell_angle_gamma 89.98
loop_
_space_group_symop_operation_xyz
'x,y,z'
loop_
_atom_site_label
_atom_site_type_symbol
_atom_site_fract_x
_atom_site_fract_y
_atom_site_fract_z
Cs1 Cs 0.0000 0.0000 0.0000
Rb1 Rb 0.1809 0.1809 0.3623
Rb2 Rb 0.8191 0.8191 0.6377
Cu1 Cu 0.4048 0.4048 0.8073
Cu2 Cu 0.5952 0.5952 0.1927
Br1 Br 0.0940 0.5943 0.1896
Br2 Br 0.3107 0.3107 0.6203
Br3 Br 0.4057 0.9060 0.8104
Br4 Br 0.5000 0.5000 0.0000
Br5 Br 0.5943 0.0940 0.1896
Br6 Br 0.6893 0.6893 0.3797
Br7 Br 0.9060 0.4057 0.8104
```

Calculated X-ray powder pattern of CsCu2RuBr8 for Cu Kα, 1.54184 Å, from a crystal structure in Alexandria, relaxed with PBE.
No peak broadening, texture or thermal motion is included.

Peak list (12 most intense, 5° ≤ 2θ ≤ 70°, sorted by position)
two_theta	I/Imax
7.7	502
19.0	1000
23.4	394
27.8	627
28.9	585
32.0	226
33.9	260
36.6	341
42.4	403
44.4	190
49.1	445
55.1	164

Structure:
```
data_CsCu2RuBr8
_chemical_formula_sum 'Cs1 Cu2 Ru1 Br8'
_space_group_name_H-M_alt 'P 1'
_space_group_IT_number 1
_cell_length_a 11.9976
_cell_length_b 11.9976
_cell_length_c 11.9976
_cell_angle_alpha 31.05
_cell_angle_beta 31.05
_cell_angle_gamma 31.05
loop_
_space_group_symop_operation_xyz
'x,y,z'
loop_
_atom_site_label
_atom_site_type_symbol
_atom_site_fract_x
_atom_site_fract_y
_atom_site_fract_z
Cs1 Cs 0.0000 0.0000 0.0000
Cu1 Cu 0.2335 0.2335 0.2335
Cu2 Cu 0.7665 0.7665 0.7665
Ru1 Ru 0.5000 0.5000 0.5000
Br1 Br 0.1606 0.4347 0.7604
Br2 Br 0.2396 0.5653 0.8394
Br3 Br 0.3023 0.3023 0.3023
Br4 Br 0.4347 0.7604 0.1606
Br5 Br 0.5653 0.8394 0.2396
Br6 Br 0.6977 0.6977 0.6977
Br7 Br 0.7604 0.1606 0.4347
Br8 Br 0.8394 0.2396 0.5653
```

Calculated X-ray powder pattern of CsScCuBr6 for Cu Kα, 1.54184 Å, from a crystal structure in Alexandria, relaxed with PBE.
No peak broadening, texture or thermal motion is included.

Peak list (12 most intense, 5° ≤ 2θ ≤ 70°, sorted by position)
two_theta	I/Imax
11.1	717
17.0	834
18.9	421
19.1	745
24.9	382
27.6	815
28.2	1000
29.7	363
30.5	819
35.6	693
36.2	613
37.2	574

Structure:
```
data_CsScCuBr6
_chemical_formula_sum 'Cs1 Sc1 Cu1 Br6'
_space_group_name_H-M_alt 'P 1'
_space_group_IT_number 1
_cell_length_a 6.7643
_cell_length_b 6.8126
_cell_length_c 8.0572
_cell_angle_alpha 93.61
_cell_angle_beta 94.86
_cell_angle_gamma 112.39
loop_
_space_group_symop_operation_xyz
'x,y,z'
loop_
_atom_site_label
_atom_site_type_symbol
_atom_site_fract_x
_atom_site_fract_y
_atom_site_fract_z
Cs1 Cs 0.0000 0.0000 0.0000
Sc1 Sc 0.3738 0.6382 0.5024
Cu1 Cu 0.7292 0.2964 0.4920
Br1 Br 0.0678 0.5989 0.2733
Br2 Br 0.0700 0.3278 0.6472
Br3 Br 0.4100 0.9249 0.7373
Br4 Br 0.4594 0.3489 0.2982
Br5 Br 0.6682 0.9451 0.3480
Br6 Br 0.6733 0.5468 0.6960
```

Calculated X-ray powder pattern of Cs3Cu2SnBr9 for Cu Kα, 1.54184 Å, from a crystal structure in Alexandria, relaxed with PBE.
No peak broadening, texture or thermal motion is included.

Peak list (12 most intense, 5° ≤ 2θ ≤ 70°, sorted by position)
two_theta	I/Imax
23.2	415
28.4	203
28.5	593
33.0	1000
40.7	138
47.2	343
47.4	355
56.0	91
56.2	251
58.7	56
59.0	181
69.2	108

Structure:
```
data_Cs3Cu2SnBr9
_chemical_formula_sum 'Cs3 Cu2 Sn1 Br9'
_space_group_name_H-M_alt 'P 1'
_space_group_IT_number 1
_cell_length_a 7.6701
_cell_length_b 7.6701
_cell_length_c 9.4430
_cell_angle_alpha 90.00
_cell_angle_beta 90.00
_cell_angle_gamma 120.00
loop_
_space_group_symop_operation_xyz
'x,y,z'
loop_
_atom_site_label
_atom_site_type_symbol
_atom_site_fract_x
_atom_site_fract_y
_atom_site_fract_z
Cs1 Cs 0.0000 0.0000 0.0000
Cs2 Cs 0.3333 0.6667 0.6755
Cs3 Cs 0.6667 0.3333 0.3245
Cu1 Cu 0.3333 0.6667 0.1416
Cu2 Cu 0.6667 0.3333 0.8584
Sn1 Sn 0.0000 0.0000 0.5000
Br1 Br 0.0000 0.5000 0.0000
Br2 Br 0.1716 0.3433 0.3292
Br3 Br 0.1716 0.8284 0.3292
Br4 Br 0.3433 0.1716 0.6708
Br5 Br 0.5000 0.0000 0.0000
Br6 Br 0.5000 0.5000 0.0000
Br7 Br 0.6567 0.8284 0.3292
Br8 Br 0.8284 0.1716 0.6708
Br9 Br 0.8284 0.6567 0.6708
```

Repeat the eighth record exactly.
Calculated X-ray powder pattern of Cs3Cu2SnBr9 for Cu Kα, 1.54184 Å, from a crystal structure in Alexandria, relaxed with PBE.
No peak broadening, texture or thermal motion is included.

Peak list (12 most intense, 5° ≤ 2θ ≤ 70°, sorted by position)
two_theta	I/Imax
23.2	415
28.4	203
28.5	593
33.0	1000
40.7	138
47.2	343
47.4	355
56.0	91
56.2	251
58.7	56
59.0	181
69.2	108

Structure:
```
data_Cs3Cu2SnBr9
_chemical_formula_sum 'Cs3 Cu2 Sn1 Br9'
_space_group_name_H-M_alt 'P 1'
_space_group_IT_number 1
_cell_length_a 7.6701
_cell_length_b 7.6701
_cell_length_c 9.4430
_cell_angle_alpha 90.00
_cell_angle_beta 90.00
_cell_angle_gamma 120.00
loop_
_space_group_symop_operation_xyz
'x,y,z'
loop_
_atom_site_label
_atom_site_type_symbol
_atom_site_fract_x
_atom_site_fract_y
_atom_site_fract_z
Cs1 Cs 0.0000 0.0000 0.0000
Cs2 Cs 0.3333 0.6667 0.6755
Cs3 Cs 0.6667 0.3333 0.3245
Cu1 Cu 0.3333 0.6667 0.1416
Cu2 Cu 0.6667 0.3333 0.8584
Sn1 Sn 0.0000 0.0000 0.5000
Br1 Br 0.0000 0.5000 0.0000
Br2 Br 0.1716 0.3433 0.3292
Br3 Br 0.1716 0.8284 0.3292
Br4 Br 0.3433 0.1716 0.6708
Br5 Br 0.5000 0.0000 0.0000
Br6 Br 0.5000 0.5000 0.0000
Br7 Br 0.6567 0.8284 0.3292
Br8 Br 0.8284 0.1716 0.6708
Br9 Br 0.8284 0.6567 0.6708
```